Simulated PXRD pattern
Compound: VH10SO10
Radiation: a wavelength of 1.5418 Å
Structure: a PBE+U-relaxed structure
Peak positions follow from Bragg's law for the DFT cell and can differ from measured ones.

```
VH10SO10
1.0
7.2704 0.0000 0.0000
0.0000 9.3977 0.0000
0.0000 0.0000 6.2586
V H S O
2 20 2 20
direct
0.0000 0.2199 0.0000
0.5000 0.7801 0.5000
0.1092 0.3211 0.4093
0.1595 0.9940 0.1806
0.1806 0.4712 0.9883
0.1881 0.8757 0.6986
0.2396 0.6365 0.3093
0.2604 0.3635 0.8093
0.3119 0.1243 0.1986
0.3194 0.5288 0.4883
0.3405 0.0060 0.6806
0.3908 0.6789 0.9093
0.6092 0.6789 0.9093
0.6595 0.0060 0.6806
0.6806 0.5288 0.4883
0.6881 0.1243 0.1986
0.7396 0.3635 0.8093
0.7604 0.6365 0.3093
0.8119 0.8757 0.6986
0.8194 0.4712 0.9883
0.8405 0.9940 0.1806
0.8908 0.3211 0.4093
0.0000 0.7397 0.0268
0.5000 0.2603 0.5268
0.0000 0.1631 0.7538
0.0000 0.3328 0.3171
0.0000 0.8046 0.8102
0.0000 0.8488 0.1973
0.1682 0.6473 0.0510
0.1959 0.0898 0.1297
0.2055 0.3690 0.9556
0.2945 0.6310 0.4556
0.3041 0.9102 0.6297
0.3318 0.3527 0.5510
0.5000 0.1512 0.6973
0.5000 0.1954 0.3102
0.5000 0.6672 0.8171
0.5000 0.8369 0.2538
0.6682 0.3527 0.5510
0.6959 0.9102 0.6297
0.7055 0.6310 0.4556
0.7945 0.3690 0.9556
0.8041 0.0898 0.1297
0.8318 0.6473 0.0510
```

Peak list (8 most intense, 2θ from 5° to 70°, in order of falling intensity)
- 18.71°, 4.743 Å, rel. 100, (1 0 1)
- 18.89°, 4.699 Å, rel. 38, (0 2 0)
- 26.70°, 3.338 Å, rel. 34, (1 2 1)
- 31.11°, 2.875 Å, rel. 26, (2 2 0)
- 34.32°, 2.613 Å, rel. 17, (2 2 1)
- 44.48°, 2.037 Å, rel. 10, (3 2 1)
- 30.10°, 2.969 Å, rel. 9, (0 1 2)
- 55.02°, 1.669 Å, rel. 9, (2 4 2)